1.
# Th3Ga2Rh5
Computed powder diffractogram, Cu Kα X-rays. Input: a GGA-PBE-relaxed structure.

Principal peaks in the range 2θ = 10–90°, low angle first:
- 27.8°, I 16.2, hkl 3 1 0
- 30.7°, I 37.9, hkl 2 1 1
- 34.4°, I 29.4, hkl 2 2 1
- 36.5°, I 42.7, hkl 4 1 0
- 36.6°, I 100.0, hkl 3 1 1
- 39.7°, I 23.1, hkl 4 2 0
- 39.8°, I 22.1, hkl 3 2 1
- 47.9°, I 21.0, hkl 0 0 2
- 59.8°, I 14.7, hkl 6 0 1
- 61.7°, I 18.6, hkl 4 1 2
- 63.5°, I 11.7, hkl 5 4 1
- 63.9°, I 11.4, hkl 4 2 2

Cell and atoms:
Cell: 10.162 10.162 3.796 Å, 90.00 90.00 90.00°
Space group P4/mbm (No. 127)
One atom of each set of equivalent atoms:
1 Th 0.000 0.000 0.000 [2 per cell]
2 Th 0.173 0.327 0.000 [4 per cell]
3 Ga 0.121 0.621 0.000 [4 per cell]
4 Rh 0.000 0.500 0.500 [2 per cell]
5 Rh 0.072 0.785 0.500 [8 per cell]


2.
# ThGa8Rh2
Computed powder diffractogram, Cu Kα X-rays. Input: a GGA-PBE-relaxed structure.

Principal peaks in the range 2θ = 10–90°, low angle first:
- 11.5°, I 17.5, hkl 0 0 1
- 15.4°, I 22.6, hkl 1 0 0
- 19.3°, I 37.2, hkl 1 0 1
- 24.7°, I 74.7, hkl 1 1 1
- 27.9°, I 17.1, hkl 1 0 2
- 39.1°, I 100.0, hkl 2 0 2
- 41.7°, I 18.9, hkl 1 1 3
- 44.5°, I 42.8, hkl 2 2 0
- 47.5°, I 13.5, hkl 2 0 3
- 51.5°, I 20.5, hkl 3 1 1
- 64.7°, I 13.6, hkl 4 0 0
- 78.2°, I 25.1, hkl 4 2 2

Cell and atoms:
Cell: 5.765 5.765 7.678 Å, 90.00 90.00 90.00°
Space group P4/mmm (No. 123)
One atom of each set of equivalent atoms:
1 Th 0.000 0.000 0.000 [1 per cell]
2 Ga 0.257 0.257 0.298 [8 per cell]
3 Rh 0.000 0.500 0.500 [2 per cell]


3.
# ThZnGaRh2
Computed powder diffractogram, Cu Kα X-rays. Input: a GGA-PBE-relaxed structure.

Principal peaks in the range 2θ = 10–90°, low angle first:
- 13.3°, I 35.0, hkl 0 2 0
- 31.1°, I 100.0, hkl 1 3 1
- 34.3°, I 40.5, hkl 2 0 0
- 35.7°, I 65.9, hkl 0 2 2
- 37.0°, I 27.9, hkl 2 2 0
- 41.5°, I 92.1, hkl 1 5 1
- 47.3°, I 16.6, hkl 2 4 1
- 48.3°, I 26.4, hkl 2 0 2
- 50.3°, I 21.3, hkl 2 2 2
- 53.9°, I 18.2, hkl 1 7 1
- 64.7°, I 17.0, hkl 1 5 3
- 66.4°, I 23.0, hkl 3 5 1

Cell and atoms:
Cell: 5.225 13.336 5.438 Å, 90.00 90.00 90.00°
Space group Cmme (No. 67)
One atom of each set of equivalent atoms:
1 Th 0.000 0.250 0.235 [4 per cell]
2 Zn 0.000 0.000 0.000 [4 per cell]
3 Ga 0.250 0.000 0.500 [4 per cell]
4 Rh 0.000 0.146 0.704 [8 per cell]


4.
# Ti6GaRh
Computed powder diffractogram, Cu Kα X-rays. Input: a GGA-PBE-relaxed structure.

Principal peaks in the range 2θ = 10–90°, low angle first:
- 12.7°, I 15.6, hkl 0 0 2
- 29.3°, I 3.6, hkl 1 1 0
- 32.0°, I 4.4, hkl 1 1 2
- 39.2°, I 100.0, hkl 1 1 4
- 41.9°, I 41.2, hkl 2 0 0
- 43.9°, I 3.2, hkl 2 0 2
- 49.2°, I 3.4, hkl 1 1 6
- 52.3°, I 10.1, hkl 0 0 8
- 60.7°, I 12.7, hkl 2 2 0
- 69.1°, I 16.3, hkl 2 0 8
- 74.7°, I 26.3, hkl 3 1 4
- 84.2°, I 9.3, hkl 2 2 8

Cell and atoms:
Cell: 4.314 4.314 13.993 Å, 90.00 90.00 90.00°
Space group I4/mmm (No. 139)
One atom of each set of equivalent atoms:
1 Ti 0.000 0.000 0.249 [4 per cell]
2 Ti 0.000 0.500 0.120 [8 per cell]
3 Ga 0.000 0.000 0.500 [2 per cell]
4 Rh 0.000 0.000 0.000 [2 per cell]